For KFeH24C14N8, a crystal structure in the Materials Project, relaxed with GGA-PBE gives the calculated powder diffractogram in this record (Cu Kα (weighted mean of Kα1 and Kα2)).
Intensities are scaled so that the largest is 100.

Peak list (8 most intense, 2θ = 10–90°, by angle)
11.75°, 7.532 Å, I 56; 19.04°, 4.660 Å, I 52; 19.34°, 4.589 Å, I 100; 27.06°, 3.295 Å, I 45; 27.91°, 3.197 Å, I 18; 29.98°, 2.980 Å, I 16; 30.33°, 2.947 Å, I 21; 39.26°, 2.295 Å, I 20

```
48
Lattice="-4.6600 4.6600 6.3943 4.6600 -4.6600 6.3943 4.6600 4.6600 -6.3943" Properties=species:S:1:pos:R:3 pbc="T T T"
K 0.0000 0.0000 0.0000
Fe 0.0000 0.0000 6.3943
H 5.1340 1.4230 -1.7145
H 5.8438 -1.7247 3.4046
H 2.9353 -1.1838 2.9896
H 6.1478 -0.0655 1.7142
H 3.1723 0.0655 1.7142
H 4.5945 -1.4877 4.6801
H 5.1340 1.4230 1.7145
H 1.4230 4.1861 -1.7145
H 6.3847 1.1838 2.9896
H 3.2371 0.4740 4.6798
H 3.4762 1.7247 3.4046
H -0.0655 3.1723 1.7142
H 4.7255 1.4877 4.6801
H 1.1838 2.9353 2.9896
H 1.4230 4.1861 1.7145
H -1.7247 3.4762 3.4046
H 3.2371 0.4740 8.1087
H -0.4740 3.2371 4.6798
H 0.0655 6.1478 1.7142
H 1.4877 4.5945 4.6801
H -1.4877 4.7255 4.6801
H 1.7247 5.8438 3.4046
H -1.1838 6.3847 2.9896
H -0.4740 3.2371 8.1087
C 3.6596 -0.6931 2.3343
C 5.3531 -1.0004 4.0600
C 5.6604 0.6931 2.3343
C 3.4815 3.1362 0.0000
C 0.0000 0.0000 4.4581
C 1.5238 -1.1785 6.3943
C 3.9669 1.0004 4.0600
C 0.6931 3.6596 2.3343
C 3.1362 5.8385 0.0000
C 0.0000 0.0000 8.3304
C 1.1785 1.5238 6.3943
C -1.0004 3.9669 4.0600
C -0.6931 5.6604 2.3343
C 1.0004 5.3531 4.0600
N 2.7518 2.2065 0.0000
N 4.6600 0.0000 3.1971
N 0.0000 0.0000 3.2797
N 2.4535 -1.9082 6.3943
N 2.2065 6.5682 0.0000
N 0.0000 0.0000 9.5088
N 0.0000 4.6600 3.1971
N 1.9082 2.4535 6.3943
```